Starting from a cell relaxed with PBE, the PXRD pattern of EuSnPd was calculated for Cu Kα, 1.54184 Å.
Intensities are scaled so that the largest is 1000.

Lattice parameters (Å, degrees): 7.572 4.735 8.128 90.00 90.00 90.00
Space group Pnma (No. 62)
Asymmetric unit:
Eu  0.023  0.250  0.185 [4 per cell]
Sn  0.165  0.250  0.574 [4 per cell]
Pd  0.208  0.750  0.394 [4 per cell]

Main lines, sorted by position (15 to 90 degrees two-theta):
index, 2θ (°), intensity
1 1 2, 31.3, 786
2 1 1, 32.2, 1000
2 0 2, 32.3, 259
3 0 1, 37.3, 355
0 2 0, 38.0, 490
0 1 3, 38.3, 484
3 2 1, 54.3, 241
3 1 4, 61.8, 277